# 1
Theoretical powder XRD pattern of Tb5Y2In for λ = 1.5418 Å (Cu Kα), from DFT lattice parameters and positions (GGA-PBE).
No peak broadening, texture or thermal motion is included.

Cell: 7.0292 7.0292 7.0292 Å, 119.93 119.93 90.11°
Atoms (fractional coordinates):
Tb  0.0000  0.0000  0.0000
Tb  0.0000  0.0000  0.5000
Tb  0.0000  0.5000  0.0000
Tb  0.5000  0.0000  0.0000
Tb  0.5000  0.5000  0.5000
Y  0.0000  0.5000  0.5000
Y  0.5000  0.0000  0.5000
In  0.5000  0.5000  0.0000

Top 12 peaks for 2θ = 10–90°, by angle:
2theta, I/Imax
17.9, 4
25.3, 3
31.2, 100
36.1, 50
40.6, 2
52.0, 35
61.9, 42
65.0, 12
76.6, 4
85.0, 17
87.7, 11
87.9, 5



# 2
Theoretical powder XRD pattern of La6Sm2Ho for λ = 1.5418 Å (Cu Kα), from DFT lattice parameters and positions (GGA-PBE).
No peak broadening, texture or thermal motion is included.

Cell: 10.2131 10.2131 3.7032 Å, 90.00 90.00 124.15°
Atoms (fractional coordinates):
La  0.0069  0.3364  0.0000
La  0.1797  0.1797  0.5000
La  0.3364  0.0069  0.0000
La  0.6636  0.9931  0.0000
La  0.8203  0.8203  0.5000
La  0.9931  0.6636  0.0000
Sm  0.3280  0.6720  0.5000
Sm  0.6720  0.3280  0.5000
Ho  0.5000  0.5000  0.0000

Top 12 peaks for 2θ = 10–90°, by angle:
2theta, I/Imax
28.4, 58
29.7, 59
29.8, 100
32.1, 49
36.6, 31
37.6, 29
45.2, 18
49.2, 15
52.8, 20
56.2, 25
57.8, 24
58.5, 17



# 3
Theoretical powder XRD pattern of VH4Rh for λ = 1.5418 Å (Cu Kα), from DFT lattice parameters and positions (GGA-PBE).
No peak broadening, texture or thermal motion is included.

Cell: 3.1195 3.1195 4.1509 Å, 90.00 90.00 90.00°
Atoms (fractional coordinates):
V  0.0000  0.0000  0.0000
H  0.0000  0.5000  0.2536
H  0.0000  0.5000  0.7464
H  0.5000  0.0000  0.2536
H  0.5000  0.0000  0.7464
Rh  0.5000  0.5000  0.5000

Top 12 peaks for 2θ = 10–90°, by angle:
2theta, I/Imax
21.4, 12
28.6, 12
36.0, 100
40.9, 32
43.6, 13
46.6, 6
53.0, 4
59.2, 12
61.3, 21
71.3, 25
75.1, 11
76.4, 10



# 4
Theoretical powder XRD pattern of La2TbSm12 for λ = 1.5418 Å (Cu Kα), from DFT lattice parameters and positions (GGA-PBE).
No peak broadening, texture or thermal motion is included.

Cell: 6.8174 6.8174 25.0928 Å, 90.00 90.00 116.12°
Atoms (fractional coordinates):
La  0.2500  0.7500  0.2333
La  0.2500  0.7500  0.7743
La  0.7500  0.2500  0.2257
La  0.7500  0.2500  0.7667
Tb  0.2500  0.7500  0.5001
Tb  0.7500  0.2500  0.4999
Sm  0.0013  0.5013  0.6262
Sm  0.0007  0.9993  0.4242
Sm  0.0202  0.5202  0.0813
Sm  0.0240  0.9760  0.9405
Sm  0.2500  0.2500  0.1723
Sm  0.2500  0.2500  0.3011
Sm  0.2500  0.2500  0.6989
Sm  0.2500  0.2500  0.8277
Sm  0.4760  0.5240  0.9405
Sm  0.4798  0.9798  0.0813
Sm  0.4993  0.5007  0.4242
Sm  0.4987  0.9987  0.6262
Sm  0.5013  0.0013  0.3738
Sm  0.5007  0.4993  0.5758
Sm  0.5202  0.0202  0.9187
Sm  0.5240  0.4760  0.0595
Sm  0.7500  0.7500  0.1723
Sm  0.7500  0.7500  0.3011
Sm  0.7500  0.7500  0.6989
Sm  0.7500  0.7500  0.8277
Sm  0.9760  0.0240  0.0595
Sm  0.9798  0.4798  0.9187
Sm  0.9993  0.0007  0.5758
Sm  0.9987  0.4987  0.3738

Top 12 peaks for 2θ = 10–90°, by angle:
2theta, I/Imax
28.5, 31
29.3, 57
30.1, 77
30.9, 77
31.1, 25
32.5, 100
36.4, 51
42.6, 21
50.6, 20
56.0, 20
57.4, 21
60.5, 22



# 5
Theoretical powder XRD pattern of In2CuHS4 for λ = 1.5418 Å (Cu Kα), from DFT lattice parameters and positions (GGA-PBE).
No peak broadening, texture or thermal motion is included.

Cell: 8.0664 6.7388 6.5649 Å, 90.00 90.00 90.00°
Atoms (fractional coordinates):
In  0.2348  0.1567  0.0000
In  0.2652  0.8433  0.5000
In  0.7348  0.8433  0.5000
In  0.7652  0.1567  0.0000
Cu  0.0000  0.6670  0.9652
Cu  0.5000  0.3330  0.4652
H  0.0000  0.5026  0.4181
H  0.5000  0.4974  0.9181
S  0.0000  0.3459  0.8506
S  0.0000  0.6864  0.3308
S  0.2493  0.1911  0.3759
S  0.2507  0.8089  0.8759
S  0.5000  0.3136  0.8308
S  0.5000  0.6541  0.3506
S  0.7493  0.8089  0.8759
S  0.7507  0.1911  0.3759

Top 12 peaks for 2θ = 10–90°, by angle:
2theta, I/Imax
17.4, 41
18.9, 59
25.7, 92
26.5, 39
27.2, 81
29.2, 100
29.8, 63
37.8, 36
45.0, 36
46.3, 63
49.3, 69
54.5, 45



# 6
Theoretical powder XRD pattern of Ba4Pa3HgO12 for λ = 1.5418 Å (Cu Kα), from DFT lattice parameters and positions (GGA-PBE).
No peak broadening, texture or thermal motion is included.

Cell: 7.8474 7.8474 7.8474 Å, 109.47 109.47 109.47°
Atoms (fractional coordinates):
Ba  0.0000  0.0000  0.5000
Ba  0.0000  0.5000  0.0000
Ba  0.5000  0.0000  0.0000
Ba  0.5000  0.5000  0.5000
Pa  0.0000  0.5000  0.5000
Pa  0.5000  0.0000  0.5000
Pa  0.5000  0.5000  0.0000
Hg  0.0000  0.0000  0.0000
O  0.0000  0.2757  0.2757
O  0.0000  0.7243  0.7243
O  0.2500  0.5000  0.7500
O  0.2500  0.7500  0.5000
O  0.2757  0.0000  0.2757
O  0.2757  0.2757  0.0000
O  0.5000  0.2500  0.7500
O  0.5000  0.7500  0.2500
O  0.7243  0.0000  0.7243
O  0.7243  0.7243  0.0000
O  0.7500  0.2500  0.5000
O  0.7500  0.5000  0.2500

Top 12 peaks for 2θ = 10–90°, by angle:
2theta, I/Imax
19.6, 11
27.8, 100
39.8, 28
44.7, 5
49.3, 43
57.5, 18
61.4, 3
65.1, 19
72.2, 6
79.1, 23
85.8, 3
89.1, 2



Number 1 is which compound? Tb5Y2In